Computed XRD peak list of Mn4Hg3Au for Cu Kα, 1.54184 Å, from DFT lattice parameters and positions (PBE).
Kinematic intensities with the Lorentz-polarization factor, no thermal factor.

Structural model:
Cell: 3.231 4.683 9.541 Å, 90.00 90.00 90.00°
Space group Pmm2 (No. 25)
Asymmetric unit:
Mn (0.000, 0.000, 0.000) x1
Mn (0.000, 0.000, 0.480) x1
Mn (0.000, 0.500, 0.281) x1
Mn (0.000, 0.500, 0.785) x1
Hg (0.500, 0.000, 0.743) x1
Hg (0.500, 0.500, 0.034) x1
Hg (0.500, 0.500, 0.533) x1
Au (0.500, 0.000, 0.242) x1

Principal peaks in the range 10° ≤ 2θ ≤ 80°, sorted by position:
| d [Å] | 2θ/deg | intensity | (hkl) |
| --- | --- | --- | --- |
| 3.342 | 26.7 | 41 | 0 1 2 |
| 3.231 | 27.6 | 20 | 1 0 0 |
| 2.385 | 37.7 | 22 | 0 0 4 |
| 2.341 | 38.4 | 27 | 0 2 0 |
| 2.323 | 38.8 | 100 | 1 1 2 |
| 2.125 | 42.5 | 10 | 0 1 4 |
| 1.671 | 55.0 | 14 | 0 2 4 |
| 1.484 | 62.6 | 11 | 0 3 2 |
| 1.365 | 68.8 | 10 | 1 1 6 |
| 1.348 | 69.8 | 18 | 1 3 2 |